(1)
# LiTl2Cr2Te6
Computed XRD peak list, copper Kα. Input: a PBE-relaxed structure.
Intensities are scaled so that the largest is 100.

Crystal structure
```
data_LiTl2Cr2Te6
_chemical_formula_sum 'Li2 Tl4 Cr4 Te12'
_symmetry_space_group_name_H-M 'C 1 2/m 1'
_symmetry_Int_Tables_number 12
_cell_length_a 6.935
_cell_length_b 12.208
_cell_length_c 8.137
_cell_angle_alpha 90.00
_cell_angle_beta 107.28
_cell_angle_gamma 90.00
loop_
_symmetry_equiv_pos_as_xyz
'x,y,z'
'-x,-y,-z'
'-x,y,-z'
'x,-y,z'
'x+1/2,y+1/2,z'
'-x+1/2,-y+1/2,-z'
'-x+1/2,y+1/2,-z'
'x+1/2,-y+1/2,z'
loop_
_atom_site_label
_atom_site_fract_x
_atom_site_fract_y
_atom_site_fract_z
Li1 0.000 0.000 0.000
Tl1 0.000 0.157 0.500
Cr1 0.000 0.327 0.000
Te1 0.208 0.500 0.185
Te2 0.245 0.178 0.198
```

Peak list (10 most intense, 10 to 90 degrees two-theta, by intensity)
d (Å), 2theta, I_rel, hkl
2.997, 29.81, 100, 2 0 -2
2.010, 45.11, 23, 3 3 -1
2.249, 40.10, 23, 1 3 -3
2.813, 31.81, 19, 1 3 -2
5.381, 16.47, 19, 1 1 -1
2.590, 34.63, 14, 0 0 3
2.035, 44.53, 11, 0 6 0
1.683, 54.51, 11, 2 6 -2
1.601, 57.59, 10, 2 0 -5
6.104, 14.51, 10, 0 2 0

(2)
# LiCrW
Computed XRD peak list, copper Kα. Input: a PBE-relaxed structure.
Intensities are scaled so that the largest is 100.

Crystal structure
```
data_LiCrW
_chemical_formula_sum 'Li1 Cr1 W1'
_symmetry_space_group_name_H-M 'P 3 m 1'
_symmetry_Int_Tables_number 156
_cell_length_a 4.2952
_cell_length_b 4.2952
_cell_length_c 2.5326
_cell_angle_alpha 90.00
_cell_angle_beta 90.00
_cell_angle_gamma 120.00
loop_
_symmetry_equiv_pos_as_xyz
'x,y,z'
'-y,x-y,z'
'-x+y,-x,z'
'-y,-x,z'
'-x+y,y,z'
'x,x-y,z'
loop_
_atom_site_label
_atom_site_fract_x
_atom_site_fract_y
_atom_site_fract_z
Li1 0.0000 0.0000 0.0000
Cr1 0.3333 0.6667 0.7266
W1 0.6667 0.3333 0.3796
```

Peak list (10 most intense, 10 to 90 degrees two-theta, by intensity)
d (Å), 2theta, I_rel, hkl
3.720, 23.92, 100, 1 0 0
2.093, 43.22, 72, 1 0 1
2.148, 42.07, 53, 1 1 0
1.229, 77.68, 26, 2 1 1
1.499, 61.90, 25, 0 2 1
1.638, 56.15, 19, 1 1 1
1.860, 48.98, 15, 2 0 0
1.406, 66.51, 12, 2 1 0
2.533, 35.44, 12, 0 0 1
1.199, 80.05, 11, 0 1 2